No. 1
K2Sn4SbAu3: calculated PXRD pattern (Cu Ka), based on DFT lattice parameters and positions (GGA-PBE).

Most intense lines, 2θ from 15° to 90°, in order of rising 2θ:
2θ = 15.13°, intensity 42; 2θ = 19.65°, intensity 74; 2θ = 29.26°, intensity 46; 2θ = 29.98°, intensity 86; 2θ = 36.70°, intensity 87; 2θ = 40.34°, intensity 100; 2θ = 52.88°, intensity 31; 2θ = 68.55°, intensity 44

Atomic structure:
```
data_K2Sn4SbAu3
_cell_length_a 4.897
_cell_length_b 4.897
_cell_length_c 11.711
_cell_angle_alpha 90.00
_cell_angle_beta 90.00
_cell_angle_gamma 90.00
_symmetry_space_group_name_H-M 'P -4 m 2'
_symmetry_Int_Tables_number 115
_symmetry_space_group_name_Hall 'P -4 -2'
loop_
_atom_site_label
_atom_site_type_symbol
_atom_site_fract_x
_atom_site_fract_y
_atom_site_fract_z
K1 K 0.000 0.500 0.248
Sn1 Sn 0.000 0.000 0.000
Sn2 Sn 0.000 0.500 0.641
Sn3 Sn 0.500 0.500 0.000
Sb1 Sb 0.000 0.000 0.500
Au1 Au 0.000 0.500 0.876
Au2 Au 0.500 0.500 0.500
```

---

No. 2
BaCu2Ge2O7: calculated PXRD pattern (Cu Ka), based on DFT lattice parameters and positions (GGA-PBE).

Most intense lines, 2θ from 15° to 90°, in order of rising 2θ:
2θ = 21.96°, intensity 43; 2θ = 28.01°, intensity 53; 2θ = 28.35°, intensity 92; 2θ = 32.07°, intensity 100; 2θ = 35.28°, intensity 63; 2θ = 48.19°, intensity 27; 2θ = 48.62°, intensity 25; 2θ = 61.31°, intensity 22

Atomic structure:
```
data_BaCu2Ge2O7
_cell_length_a 7.144
_cell_length_b 13.352
_cell_length_c 7.248
_cell_angle_alpha 90.00
_cell_angle_beta 90.00
_cell_angle_gamma 90.00
_symmetry_space_group_name_H-M 'P n m a'
_symmetry_Int_Tables_number 62
_symmetry_space_group_name_Hall '-P 2ac 2n'
loop_
_atom_site_label
_atom_site_type_symbol
_atom_site_fract_x
_atom_site_fract_y
_atom_site_fract_z
Ba1 Ba 0.024 0.250 0.045
Cu1 Cu 0.219 0.504 0.791
Ge1 Ge 0.013 0.129 0.522
O1 O 0.089 0.119 0.753
O2 O 0.100 0.750 0.501
O3 O 0.179 0.544 0.530
O4 O 0.187 0.135 0.347
```